Diffraction record for KRb2WO3F3. The PXRD pattern is computed, not measured: it uses the PBE+U geometry in Alexandria and Cu Ka.

Principal peaks in the range 10° ≤ 2θ ≤ 90°, low angle first:
2θ 16.8, rel. 100.0
2θ 27.4, rel. 74.1
2θ 27.6, rel. 80.9
2θ 27.8, rel. 75.8
2θ 48.5, rel. 32.2
2θ 48.8, rel. 32.0

Cell lengths 6.5066, 6.4611, 6.4150 Å; angles 60.70, 60.00, 59.30 degrees
Atoms (fractional coordinates):
K  0.0000  0.0000  0.0000
Rb  0.2368  0.2368  0.2632
Rb  0.7368  0.7368  0.7632
W  0.4862  0.4862  0.5138
O  0.2906  0.2906  0.7094
O  0.3180  0.7250  0.6820
O  0.7250  0.3180  0.2750
F  0.2820  0.7218  0.2782
F  0.7218  0.2820  0.7180
F  0.7218  0.7218  0.2782